Starting from a cell relaxed with GGA-PBE, the powder diffraction line list of Tb2B4C was computed for Cu Ka.
No peak broadening, texture or thermal motion is included.

Peak list (10 most intense, 2θ = 5–70°, by angle)
(hkl)  two_theta  I_rel
0 0 2  23.4  56
0 2 0  27.1  55
1 1 0  30.4  73
0 2 2  36.1  55
1 1 2  38.7  100
1 3 0  50.0  23
2 0 0  55.8  22
0 4 0  55.9  36
1 1 4  57.7  21
0 4 2  61.4  20

Cell and atoms:
```
data_Tb2B4C
_chemical_formula_sum 'Tb4 B8 C2'
_space_group_name_H-M_alt 'I m m m'
_space_group_IT_number 71
_space_group_name_Hall '-I 2 2'
_cell_length_a 3.291
_cell_length_b 6.571
_cell_length_c 7.616
_cell_angle_alpha 90.00
_cell_angle_beta 90.00
_cell_angle_gamma 90.00
loop_
_atom_site_label
_atom_site_type_symbol
_atom_site_fract_x
_atom_site_fract_y
_atom_site_fract_z
_atom_site_occupancy
Tb1 Tb 0.000 0.000 0.235 1
B1 B 0.000 0.273 0.500 1
B2 B 0.000 0.365 0.000 1
C1 C 0.000 0.500 0.500 1
```

---

Starting from a cell relaxed with GGA-PBE, the powder diffraction line list of TbB2C2 was computed for Cu Ka.
No peak broadening, texture or thermal motion is included.

Peak list (10 most intense, 2θ = 5–70°, by angle)
(hkl)  two_theta  I_rel
1 0 0  23.4  91
0 0 2  24.5  26
1 1 0  33.3  39
1 0 2  34.2  100
1 1 2  41.8  56
2 0 0  47.9  17
2 1 0  53.9  29
2 0 2  54.5  22
1 0 4  56.2  18
2 1 2  60.1  27

Cell and atoms:
```
data_TbB2C2
_chemical_formula_sum 'Tb2 B4 C4'
_space_group_name_H-M_alt 'P 42/m m c'
_space_group_IT_number 131
_space_group_name_Hall '-P 4c 2'
_cell_length_a 3.801
_cell_length_b 3.801
_cell_length_c 7.256
_cell_angle_alpha 90.00
_cell_angle_beta 90.00
_cell_angle_gamma 90.00
loop_
_atom_site_label
_atom_site_type_symbol
_atom_site_fract_x
_atom_site_fract_y
_atom_site_fract_z
_atom_site_occupancy
Tb1 Tb 0.000 0.000 0.250 1
B1 B 0.215 0.500 0.000 1
C1 C 0.188 0.500 0.500 1
```

---

Starting from a cell relaxed with GGA-PBE, the powder diffraction line list of ThB2C was computed for Cu Ka.
No peak broadening, texture or thermal motion is included.

Peak list (10 most intense, 2θ = 5–70°, by angle)
(hkl)  two_theta  I_rel
0 0 3  23.3  32
1 1 0  26.6  93
1 1 3  35.6  100
3 0 0  47.0  24
0 0 6  47.5  7
3 0 3  53.1  28
2 2 0  54.8  15
1 1 6  55.3  19
2 2 3  60.4  20
3 0 6  69.1  12

Cell and atoms:
```
data_ThB2C
_chemical_formula_sum 'Th9 B18 C9'
_space_group_name_H-M_alt 'R -3 m'
_space_group_IT_number 166
_space_group_name_Hall '-R 3 2"'
_cell_length_a 6.6956
_cell_length_b 6.6956
_cell_length_c 11.4756
_cell_angle_alpha 90.00
_cell_angle_beta 90.00
_cell_angle_gamma 120.00
loop_
_atom_site_label
_atom_site_type_symbol
_atom_site_fract_x
_atom_site_fract_y
_atom_site_fract_z
_atom_site_occupancy
Th1 Th 0.0000 0.0000 0.0000 1
Th2 Th 0.0000 0.0000 0.3158 1
B1 B 0.0000 0.2759 0.5000 1
C1 C 0.0000 0.5000 0.5000 1
```

---

Starting from a cell relaxed with GGA-PBE, the powder diffraction line list of Th3B2C3 was computed for Cu Ka.
No peak broadening, texture or thermal motion is included.

Peak list (10 most intense, 2θ = 5–70°, by angle)
(hkl)  two_theta  I_rel
0 1 1  25.4  58
1 0 1  27.7  70
1 0 -2  28.5  79
0 0 3  29.4  68
0 1 2  30.7  100
1 1 0  34.0  93
1 1 -1  34.2  46
1 1 3  48.5  43
1 1 -4  49.5  34
0 2 3  57.3  29

Cell and atoms:
```
data_Th3B2C3
_chemical_formula_sum 'Th3 B2 C3'
_space_group_name_H-M_alt 'P 1 2/m 1'
_space_group_IT_number 10
_cell_length_a 3.726
_cell_length_b 3.795
_cell_length_c 9.245
_cell_angle_alpha 90.00
_cell_angle_beta 100.00
_cell_angle_gamma 90.00
loop_
_space_group_symop_operation_xyz
'x,y,z'
'-x,-y,-z'
'-x,y,-z'
'x,-y,z'
loop_
_atom_site_label
_atom_site_type_symbol
_atom_site_fract_x
_atom_site_fract_y
_atom_site_fract_z
_atom_site_occupancy
Th1 Th 0.000 0.000 0.000 1
Th2 Th 0.376 0.500 0.697 1
B1 B 0.145 0.000 0.441 1
C1 C 0.119 0.000 0.276 1
C2 C 0.500 0.500 0.000 1
```